# YCuSi
Theoretical powder diffraction line list, CuKα. Input: a crystal structure in the Materials Project, relaxed with PBE.
Lines closer than 0.1° are merged.

Peak list (6 most intense, 2θ from 10° to 80°, by angle)
hkl 1 0 0, 2θ 25.4, I 15; hkl 1 0 1, 2θ 34.1, I 100; hkl 1 1 0, 2θ 44.7, I 39; hkl 2 0 1, 2θ 57.4, I 21; hkl 1 1 2, 2θ 65.8, I 23; hkl 2 1 1, 2θ 75.6, I 18

Cell and atoms:
```
data_YCuSi
_chemical_formula_sum 'Y1 Cu1 Si1'
_cell_length_a 4.0515
_cell_length_b 4.0515
_cell_length_c 3.9751
_cell_angle_alpha 90.00
_cell_angle_beta 90.00
_cell_angle_gamma 120.00
_symmetry_space_group_name_H-M 'P -6 m 2'
_symmetry_Int_Tables_number 187
_symmetry_space_group_name_Hall 'P -6 2'
loop_
_atom_site_label
_atom_site_fract_x
_atom_site_fract_y
_atom_site_fract_z
_atom_site_occupancy
Y1 0.0000 0.0000 0.0000 1
Cu1 0.3333 0.6667 0.5000 1
Si1 0.6667 0.3333 0.5000 1
```